(1)
Simulated X-ray diffraction stick pattern of Al4IrPd3 for λ = 1.5418 Å (Cu Kα), from DFT lattice parameters and positions (PBE).
Kinematic intensities with the Lorentz-polarization factor, no thermal factor.

Largest 8 diffraction maxima, by intensity, 10° ≤ 2θ ≤ 90°:
2θ/deg, intensity, (hkl)
41.1, 1000, 2 1 1
41.5, 901, 2 -1 3
25.9, 648, 0 1 2
31.6, 503, 0 2 1
25.6, 350, 1 1 0
45.4, 343, 1 2 2
46.0, 261, 1 0 4
45.2, 240, 3 0 0

Structure:
Unit cell a=6.9555 b=6.9555 c=8.3586 alpha=90.00 beta=90.00 gamma=120.00
Space group R3 (No. 146, hexagonal axes)
Unique sites:
Al 0.0000 0.0000 0.0000
Al 0.0458 0.2730 0.4671
Ir 0.0000 0.0000 0.6989
Pd 0.1038 0.6979 0.8954

---

(2)
Simulated X-ray diffraction stick pattern of HfCu2Te2Se for λ = 1.5418 Å (Cu Kα), from DFT lattice parameters and positions (PBE).
Kinematic intensities with the Lorentz-polarization factor, no thermal factor.

Largest 8 diffraction maxima, by intensity, 10° ≤ 2θ ≤ 90°:
2θ/deg, intensity, (hkl)
29.6, 1000, 3 1 1
43.7, 873, 1 1 -3
25.9, 577, 3 1 0
39.4, 553, 7 1 -1
12.4, 512, 0 0 1
44.9, 474, 0 2 0
28.6, 410, 4 0 -2
42.5, 360, 7 1 1

Structure:
Unit cell a=19.9899 b=4.0359 c=7.2390 alpha=90.00 beta=98.46 gamma=90.00
Space group C2/m (No. 12)
Unique sites:
Hf 0.1414 0.0000 0.0465
Cu 0.0459 0.5000 0.1521
Cu 0.2127 0.0000 0.4235
Te 0.0808 0.0000 0.3687
Te 0.2489 0.5000 0.2126
Se 0.0831 0.5000 0.8450

---

(3)
Simulated X-ray diffraction stick pattern of NdSm2Ta2N6 for λ = 1.5418 Å (Cu Kα), from DFT lattice parameters and positions (PBE).
Kinematic intensities with the Lorentz-polarization factor, no thermal factor.

Largest 8 diffraction maxima, by intensity, 10° ≤ 2θ ≤ 90°:
2θ/deg, intensity, (hkl)
31.9, 1000, 1 0 5
31.3, 620, 1 1 0
56.1, 414, 2 1 5
44.9, 296, 2 0 0
57.2, 124, 1 1 10
18.2, 112, 0 0 4
74.3, 107, 3 1 0
47.6, 107, 1 0 9

Structure:
Unit cell a=4.0375 b=4.0375 c=19.5071 alpha=90.00 beta=90.00 gamma=90.00
Space group I4/mmm (No. 139)
Unique sites:
Nd 0.0000 0.0000 0.0000
Sm 0.0000 0.0000 0.1792
Ta 0.0000 0.0000 0.3979
N 0.0000 0.0000 0.2984
N 0.0000 0.5000 0.0856

---

(4)
Simulated X-ray diffraction stick pattern of Li2AlGaAg2 for λ = 1.5418 Å (Cu Kα), from DFT lattice parameters and positions (PBE).
Kinematic intensities with the Lorentz-polarization factor, no thermal factor.

Largest 8 diffraction maxima, by intensity, 10° ≤ 2θ ≤ 90°:
2θ/deg, intensity, (hkl)
39.7, 1000, 1 1 0
22.6, 970, 1 0 0
52.1, 770, 1 1 2
27.8, 565, 1 0 1
39.9, 552, 1 0 2
32.4, 517, 0 0 2
81.5, 228, 1 1 4
81.1, 204, 3 0 2

Structure:
Unit cell a=4.5456 b=4.5456 c=5.5254 alpha=90.00 beta=90.00 gamma=120.00
Space group P-6m2 (No. 187)
Unique sites:
Li 0.0000 0.0000 0.2484
Al 0.3333 0.6667 0.5000
Ga 0.6667 0.3333 0.0000
Ag 0.3333 0.6667 0.0000
Ag 0.6667 0.3333 0.5000

---

(5)
Simulated X-ray diffraction stick pattern of GdMgAgAu for λ = 1.5418 Å (Cu Kα), from DFT lattice parameters and positions (PBE).
Kinematic intensities with the Lorentz-polarization factor, no thermal factor.

Largest 8 diffraction maxima, by intensity, 10° ≤ 2θ ≤ 90°:
2θ/deg, intensity, (hkl)
36.6, 1000, 1 2 1
36.2, 259, 2 0 0
36.1, 254, 0 0 2
22.1, 248, 1 1 0
65.4, 181, 3 2 1
52.0, 177, 2 0 2
66.1, 173, 2 4 0
65.2, 172, 1 2 3

Structure:
Unit cell a=4.9629 b=6.8690 c=4.9783 alpha=90.00 beta=90.00 gamma=90.00
Space group Pmm2 (No. 25)
Unique sites:
Gd 0.0000 0.0000 0.0000
Gd 0.5000 0.5000 0.4718
Mg 0.0000 0.5000 0.9848
Mg 0.5000 0.0000 0.4846
Ag 0.5000 0.2514 0.9703
Au 0.0000 0.2487 0.4994

---

(6)
Simulated X-ray diffraction stick pattern of YHoZr2Sb2 for λ = 1.5418 Å (Cu Kα), from DFT lattice parameters and positions (PBE).
Kinematic intensities with the Lorentz-polarization factor, no thermal factor.

Largest 8 diffraction maxima, by intensity, 10° ≤ 2θ ≤ 90°:
2θ/deg, intensity, (hkl)
36.8, 1000, 1 1 4
31.5, 856, 1 1 2
42.3, 639, 2 0 0
34.2, 493, 1 0 5
32.4, 360, 0 0 6
29.6, 349, 1 1 0
54.3, 325, 2 0 6
73.8, 252, 3 1 4

Structure:
Unit cell a=4.2689 b=4.2689 c=16.6000 alpha=90.00 beta=90.00 gamma=90.00
Space group I4mm (No. 107)
Unique sites:
Y 0.0000 0.0000 0.0000
Ho 0.0000 0.0000 0.3541
Zr 0.0000 0.5000 0.1776
Sb 0.0000 0.0000 0.5440
Sb 0.0000 0.0000 0.8109

---

(7)
Simulated X-ray diffraction stick pattern of Tb2S3 for λ = 1.5418 Å (Cu Kα), from DFT lattice parameters and positions (PBE).
Kinematic intensities with the Lorentz-polarization factor, no thermal factor.

Largest 8 diffraction maxima, by intensity, 10° ≤ 2θ ≤ 90°:
2θ/deg, intensity, (hkl)
26.5, 1000, 1 1 1
26.4, 775, 1 0 4
35.6, 706, 2 1 2
28.8, 525, 0 1 3
39.5, 448, 1 1 5
25.0, 405, 2 0 1
38.1, 329, 2 1 3
46.4, 328, 0 2 0

Structure:
Unit cell a=7.3145 b=3.9110 c=15.2241 alpha=90.00 beta=90.00 gamma=90.00
Space group Pnma (No. 62)
Unique sites:
Tb 0.1421 0.2500 0.2042
Tb 0.2336 0.7500 0.4567
S 0.0093 0.2500 0.3914
S 0.1242 0.7500 0.0673
S 0.1487 0.2500 0.7815

---

(8)
Simulated X-ray diffraction stick pattern of TaZnPd2 for λ = 1.5418 Å (Cu Kα), from DFT lattice parameters and positions (PBE).
Kinematic intensities with the Lorentz-polarization factor, no thermal factor.

Largest 8 diffraction maxima, by intensity, 10° ≤ 2θ ≤ 90°:
2θ/deg, intensity, (hkl)
40.6, 1000, 2 2 0
73.8, 334, 4 2 2
58.7, 167, 4 0 0
87.8, 109, 4 4 0
24.5, 70, 1 1 1
28.4, 67, 2 0 0
48.0, 37, 3 1 1
66.5, 27, 4 2 0

Structure:
Unit cell a=6.2913 b=6.2913 c=6.2913 alpha=90.00 beta=90.00 gamma=90.00
Space group F-43m (No. 216)
Unique sites:
Ta 0.0000 0.0000 0.0000
Zn 0.2500 0.2500 0.2500
Pd 0.0000 0.0000 0.5000
Pd 0.2500 0.2500 0.7500